# LaFe4P12
Theoretical powder XRD pattern, Cu Kα, 1.54184 Å. Input: a structure optimized by DFT (PBE).
Neutral-atom scattering factors, no anomalous dispersion.

Cell and atoms:
```
LaFe4P12
1.0
-3.910 3.910 3.910
3.910 -3.910 3.910
3.910 3.910 -3.910
La Fe P
1 4 12
Cartesian
0.000 0.000 0.000 La
1.955 1.955 -1.955 Fe
1.955 -1.955 1.955 Fe
-1.955 1.955 1.955 Fe
1.955 1.955 1.955 Fe
2.764 1.189 0.000 P
5.056 1.189 0.000 P
3.910 -1.146 2.721 P
2.721 3.910 -1.146 P
1.189 0.000 2.764 P
3.910 1.146 2.721 P
0.000 2.764 1.189 P
2.721 3.910 1.146 P
1.189 0.000 5.056 P
0.000 5.056 1.189 P
-1.146 2.721 3.910 P
1.146 2.721 3.910 P
```

Main lines, most intense first (10° ≤ 2θ ≤ 90°):
- 2θ 36.3, I = 1000
- 2θ 32.4, I = 864
- 2θ 43.3, I = 700
- 2θ 57.8, I = 625
- 2θ 60.4, I = 449
- 2θ 16.0, I = 361